# 1
For NiMo2, a crystal structure in Alexandria, relaxed with PBE gives the simulated powder diffraction line list in this record (Cu Ka).
Neutral-atom scattering factors, no anomalous dispersion.

Largest 8 diffraction maxima, in order of rising 2θ, 2θ from 15° to 90°:
| 2θ/deg | I_rel | index |
| --- | --- | --- |
| 37.5 | 10 | 0 0 2 |
| 38.6 | 100 | 2 1 1 |
| 43.4 | 27 | 1 1 2 |
| 48.2 | 34 | 3 1 0 |
| 48.7 | 19 | 2 0 2 |
| 68.4 | 18 | 2 1 3 |
| 74.9 | 14 | 4 0 2 |
| 78.8 | 16 | 3 3 2 |

Cell and atoms:
Cell: 5.9728 5.9728 4.7976 Å, 90.00 90.00 90.00°
Space group I4/mcm (No. 140)
Asymmetric unit:
Ni 0.0000 0.0000 0.2500
Mo 0.1518 0.3482 0.0000

***

# 2
For Ni3Mo5, a crystal structure in Alexandria, relaxed with PBE gives the simulated powder diffraction line list in this record (Cu Ka).
Neutral-atom scattering factors, no anomalous dispersion.

Largest 8 diffraction maxima, in order of rising 2θ, 2θ from 15° to 90°:
| 2θ/deg | I_rel | index |
| --- | --- | --- |
| 40.9 | 100 | 2 2 1 |
| 46.1 | 17 | 0 4 0 |
| 47.8 | 16 | 4 0 0 |
| 48.8 | 15 | 0 0 2 |
| 81.8 | 12 | 2 6 1 |
| 84.3 | 12 | 6 2 1 |
| 85.7 | 11 | 2 2 3 |
| 88.6 | 10 | 4 4 2 |

Cell and atoms:
Cell: 7.6142 7.8731 3.7354 Å, 90.00 90.00 90.00°
Space group Cmmm (No. 65)
Asymmetric unit:
Ni 0.0000 0.0000 0.0000
Ni 0.2438 0.0000 0.5000
Mo 0.0000 0.2381 0.5000
Mo 0.0000 0.5000 0.0000
Mo 0.2500 0.2500 0.0000

***

# 3
For NiMo3, a crystal structure in Alexandria, relaxed with PBE gives the simulated powder diffraction line list in this record (Cu Ka).
Neutral-atom scattering factors, no anomalous dispersion.

Largest 8 diffraction maxima, in order of rising 2θ, 2θ from 15° to 90°:
| 2θ/deg | I_rel | index |
| --- | --- | --- |
| 40.9 | 100 | 1 1 2 |
| 42.4 | 23 | 0 2 0 |
| 42.5 | 21 | 0 0 4 |
| 61.6 | 13 | 0 2 4 |
| 73.4 | 16 | 2 2 0 |
| 76.5 | 15 | 1 3 2 |
| 76.7 | 12 | 1 1 6 |
| 88.7 | 10 | 2 2 4 |

Cell and atoms:
Cell: 3.2425 4.2653 8.5041 Å, 90.00 90.00 90.00°
Space group Cmmm (No. 65)
Asymmetric unit:
Ni 0.0000 0.0000 0.0000
Mo 0.0000 0.0000 0.5000
Mo 0.0000 0.5000 0.2340

***

# 4
For Ni7Mo6, a crystal structure in Alexandria, relaxed with PBE gives the simulated powder diffraction line list in this record (Cu Ka).
Neutral-atom scattering factors, no anomalous dispersion.

Largest 8 diffraction maxima, in order of rising 2θ, 2θ from 15° to 90°:
| 2θ/deg | I_rel | index |
| --- | --- | --- |
| 37.8 | 77 | 1 1 0 |
| 41.3 | 55 | 1 0 10 |
| 43.5 | 100 | 1 1 6 |
| 44.1 | 40 | 0 2 1 |
| 44.5 | 72 | 0 1 11 |
| 47.5 | 38 | 2 0 5 |
| 72.9 | 27 | 1 2 11 |
| 80.8 | 31 | 2 2 0 |

Cell and atoms:
Cell: 4.7581 4.7581 25.7977 Å, 90.00 90.00 120.00°
Space group R-3m (No. 166, hexagonal axes)
Asymmetric unit:
Ni 0.0000 0.0000 0.0000
Ni 0.0016 0.5008 0.4100
Mo 0.0000 0.0000 0.1691
Mo 0.0000 0.0000 0.3472
Mo 0.0000 0.0000 0.4527

***

# 5
For NiMo8, a crystal structure in Alexandria, relaxed with PBE gives the simulated powder diffraction line list in this record (Cu Ka).
Neutral-atom scattering factors, no anomalous dispersion.

Largest 8 diffraction maxima, in order of rising 2θ, 2θ from 15° to 90°:
| 2θ/deg | I_rel | index |
| --- | --- | --- |
| 39.4 | 100 | 3 0 1 |
| 43.9 | 19 | 0 0 2 |
| 46.8 | 29 | 3 3 0 |
| 66.1 | 20 | 3 3 2 |
| 68.4 | 9 | 6 0 0 |
| 77.6 | 13 | 3 0 3 |
| 81.9 | 21 | 6 3 1 |
| 84.9 | 10 | 6 0 2 |

Cell and atoms:
Cell: 8.2284 8.2284 4.1271 Å, 90.00 90.00 90.00°
Space group I4/mmm (No. 139)
Asymmetric unit:
Ni 0.0000 0.0000 0.0000
Mo 0.0000 0.3227 0.0000
Mo 0.1593 0.1593 0.5000

***

# 6
For Ni24Mo5, a crystal structure in Alexandria, relaxed with PBE gives the simulated powder diffraction line list in this record (Cu Ka).
Neutral-atom scattering factors, no anomalous dispersion.

Largest 8 diffraction maxima, in order of rising 2θ, 2θ from 15° to 90°:
| 2θ/deg | I_rel | index |
| --- | --- | --- |
| 38.4 | 6 | 3 2 1 |
| 41.1 | 7 | 4 0 0 |
| 43.8 | 100 | 4 1 1 |
| 48.7 | 25 | 3 3 2 |
| 51.0 | 12 | 4 2 2 |
| 53.2 | 7 | 4 3 1 |
| 76.8 | 10 | 5 5 0 |
| 80.4 | 21 | 7 2 1 |

Cell and atoms:
Cell: 8.7763 8.7763 8.7763 Å, 90.00 90.00 90.00°
Space group I-43m (No. 217)
Asymmetric unit:
Ni 0.0456 0.3643 0.6357
Ni 0.0940 0.0940 0.7167
Mo 0.0000 0.0000 0.0000
Mo 0.1819 0.1819 0.1819

***

# 7
For Ni6Mo, a crystal structure in Alexandria, relaxed with PBE gives the simulated powder diffraction line list in this record (Cu Ka).
Neutral-atom scattering factors, no anomalous dispersion.

Largest 8 diffraction maxima, in order of rising 2θ, 2θ from 15° to 90°:
| 2θ/deg | I_rel | index |
| --- | --- | --- |
| 26.0 | 2 | 1 0 1 |
| 27.5 | 2 | 0 1 2 |
| 44.9 | 100 | 1 1 0 |
| 45.1 | 99 | 1 0 7 |
| 65.5 | 30 | 0 2 7 |
| 82.8 | 15 | 3 0 0 |
| 82.9 | 30 | 2 1 7 |
| 83.3 | 15 | 0 1 14 |

Cell and atoms:
Cell: 4.0379 4.0379 17.2189 Å, 90.00 90.00 120.00°
Space group R-3m (No. 166, hexagonal axes)
Asymmetric unit:
Ni 0.0000 0.0000 0.0699
Ni 0.0000 0.0000 0.2150
Ni 0.0000 0.0000 0.3573
Mo 0.0000 0.0000 0.5000

***

# 8
For Ni3Mo4, a crystal structure in Alexandria, relaxed with PBE gives the simulated powder diffraction line list in this record (Cu Ka).
Neutral-atom scattering factors, no anomalous dispersion.

Largest 8 diffraction maxima, in order of rising 2θ, 2θ from 15° to 90°:
| 2θ/deg | I_rel | index |
| --- | --- | --- |
| 37.7 | 63 | 1 1 0 |
| 42.2 | 63 | 1 1 1 |
| 43.4 | 100 | 1 0 2 |
| 43.8 | 33 | 2 0 0 |
| 47.9 | 46 | 2 0 1 |
| 72.0 | 42 | 2 1 2 |
| 74.7 | 15 | 2 0 3 |
| 80.5 | 21 | 2 2 0 |

Cell and atoms:
Cell: 4.7729 4.7729 4.8337 Å, 90.00 90.00 120.00°
Space group P6/mmm (No. 191)
Asymmetric unit:
Ni 0.0000 0.5000 0.0000
Mo 0.0000 0.0000 0.2594
Mo 0.3333 0.6667 0.5000